KMg6GaO8: simulated X-ray diffraction stick pattern (Cu Kα (weighted mean of Kα1 and Kα2)), based on the PBE geometry in the Materials Project.

Crystal structure
```
data_KMg6GaO8
_cell_length_a 4.5108
_cell_length_b 4.5108
_cell_length_c 8.4882
_cell_angle_alpha 90.00
_cell_angle_beta 90.00
_cell_angle_gamma 90.00
_symmetry_space_group_name_H-M 'P 4/m m m'
_symmetry_Int_Tables_number 123
_symmetry_space_group_name_Hall '-P 4 2'
loop_
_atom_site_label
_atom_site_type_symbol
_atom_site_fract_x
_atom_site_fract_y
_atom_site_fract_z
_atom_site_occupancy
K1 K 0.0000 0.0000 0.0000 1
Mg1 Mg 0.0000 0.5000 0.2448 1
Mg2 Mg 0.5000 0.5000 0.0000 1
Mg3 Mg 0.5000 0.5000 0.5000 1
Ga1 Ga 0.0000 0.0000 0.5000 1
O1 O 0.0000 0.0000 0.2849 1
O2 O 0.0000 0.5000 0.0000 1
O3 O 0.0000 0.5000 0.5000 1
O4 O 0.5000 0.5000 0.2532 1
```

The 8 most intense peaks (2θ = 10–90°), low angle first:
h k l, 2θ/deg, d/Å, I (rel.)
1 0 0, 19.68, 4.511, 15.7
1 0 2, 28.88, 3.091, 13.6
1 1 2, 35.20, 2.550, 34.9
2 0 0, 39.97, 2.255, 100.0
0 0 4, 42.61, 2.122, 38.3
2 2 0, 57.81, 1.595, 29.3
2 0 4, 59.84, 1.546, 49.0
2 2 4, 74.41, 1.275, 23.4